Theoretical powder diffractogram
Compound: Bi7S9Cl3
Radiation: Cu Kα (weighted mean of Kα1 and Kα2)
Structure: the GGA-PBE geometry in Alexandria

a = 11.2563 Å, b = 4.0675 Å, c = 11.8994 Å
α = 90.00°, β = 91.73°, γ = 90.00°
Space group Pm (No. 6)
One atom of each set of equivalent atoms:
Bi 0.0000 0.0000 0.0000 [1 per cell]
Bi 0.0206 0.0000 0.3632 [1 per cell]
Bi 0.1247 0.5000 0.6733 [1 per cell]
Bi 0.3092 0.5000 0.0720 [1 per cell]
Bi 0.3836 0.0000 0.4676 [1 per cell]
Bi 0.5289 0.5000 0.7551 [1 per cell]
Bi 0.6650 0.5000 0.2799 [1 per cell]
S 0.0692 0.5000 0.1659 [1 per cell]
S 0.1975 0.5000 0.4413 [1 per cell]
S 0.2262 0.0000 0.9425 [1 per cell]
S 0.3557 0.0000 0.6875 [1 per cell]
S 0.5121 0.5000 0.9668 [1 per cell]
S 0.5530 0.5000 0.4799 [1 per cell]
S 0.8532 0.5000 0.4097 [1 per cell]
S 0.9679 0.5000 0.8479 [1 per cell]
S 0.9906 0.0000 0.5963 [1 per cell]
Cl 0.4551 0.0000 0.2233 [1 per cell]
Cl 0.6957 0.0000 0.7593 [1 per cell]
Cl 0.7659 0.0000 0.1550 [1 per cell]

Peak list (6 most intense, 2θ from 10° to 90°, most intense first)
(2 1 1), 28.2 deg, I 100
(1 0 -2), 16.6 deg, I 67
(2 0 2), 22.1 deg, I 67
(1 1 -1), 24.4 deg, I 64
(2 0 3), 27.9 deg, I 63
(1 0 -3), 23.6 deg, I 62

Theoretical powder diffractogram
Compound: Sc6GeS3
Radiation: Cu Kα (weighted mean of Kα1 and Kα2)
Structure: the GGA-PBE geometry in Alexandria

a = 10.7876 Å, b = 3.7148 Å, c = 10.9572 Å
α = 90.00°, β = 114.97°, γ = 90.00°
Space group P2_1/m (No. 11)
One atom of each set of equivalent atoms:
Sc 0.0425 0.2500 0.4064 [2 per cell]
Sc 0.0950 0.7500 0.9400 [2 per cell]
Sc 0.2251 0.7500 0.2819 [2 per cell]
Sc 0.2556 0.2500 0.7687 [2 per cell]
Sc 0.4141 0.2500 0.5751 [2 per cell]
Sc 0.4539 0.2500 0.1275 [2 per cell]
Ge 0.2229 0.7500 0.5679 [2 per cell]
S 0.0254 0.2500 0.7700 [2 per cell]
S 0.3427 0.7500 0.9507 [2 per cell]
S 0.4039 0.2500 0.3379 [2 per cell]

Peak list (6 most intense, 2θ from 10° to 90°, most intense first)
(0 1 3), 36.3 deg, I 100
(4 0 -2), 33.3 deg, I 78
(1 1 2), 33.6 deg, I 50
(0 2 0), 49.0 deg, I 49
(3 1 0), 36.7 deg, I 42
(3 1 1), 40.6 deg, I 35

Theoretical powder diffractogram
Compound: Rb2SrSO6
Radiation: Cu Kα (weighted mean of Kα1 and Kα2)
Structure: the GGA-PBE geometry in Alexandria

a = 6.3664 Å, b = 6.3664 Å, c = 6.1333 Å
α = 90.00°, β = 90.00°, γ = 120.00°
Space group P-3m1 (No. 164)
One atom of each set of equivalent atoms:
Rb 0.3333 0.6667 0.3895 [2 per cell]
Sr 0.0000 0.0000 0.0000 [1 per cell]
S 0.0000 0.0000 0.5000 [1 per cell]
O 0.1234 0.2467 0.6580 [6 per cell]

Peak list (6 most intense, 2θ from 10° to 90°, most intense first)
(1 1 0), 28.0 deg, I 100
(0 1 1), 21.7 deg, I 72
(2 0 1), 35.7 deg, I 55
(0 0 1), 14.4 deg, I 41
(1 0 0), 16.1 deg, I 40
(1 0 2), 33.4 deg, I 40

Theoretical powder diffractogram
Compound: Cs3RuI6
Radiation: Cu Kα (weighted mean of Kα1 and Kα2)
Structure: the GGA-PBE geometry in Alexandria

a = 14.8350 Å, b = 8.5477 Å, c = 9.2426 Å
α = 90.00°, β = 122.01°, γ = 90.00°
Space group C2/m (No. 12)
One atom of each set of equivalent atoms:
Cs 0.0000 0.0000 0.0000 [2 per cell]
Cs 0.2351 0.0000 0.7343 [4 per cell]
Ru 0.0000 0.5000 0.5000 [2 per cell]
I 0.0559 0.2753 0.3522 [8 per cell]
I 0.2023 0.5000 0.7838 [4 per cell]

Peak list (6 most intense, 2θ from 10° to 90°, most intense first)
(2 2 -2), 28.5 deg, I 100
(2 2 0), 25.2 deg, I 63
(4 0 -1), 24.3 deg, I 41
(0 4 0), 42.3 deg, I 35
(2 2 1), 30.7 deg, I 34
(3 1 -1), 20.8 deg, I 33

Theoretical powder diffractogram
Compound: Tb3Co4
Radiation: Cu Kα (weighted mean of Kα1 and Kα2)
Structure: the GGA-PBE geometry in Alexandria

a = 3.8906 Å, b = 4.0873 Å, c = 16.7579 Å
α = 90.00°, β = 90.00°, γ = 90.00°
Space group Immm (No. 71)
One atom of each set of equivalent atoms:
Tb 0.0000 0.0000 0.0000 [2 per cell]
Tb 0.0000 0.5000 0.3142 [4 per cell]
Co 0.0000 0.0000 0.4323 [4 per cell]
Co 0.0000 0.5000 0.1337 [4 per cell]

Peak list (6 most intense, 2θ from 10° to 90°, most intense first)
(1 1 2), 33.6 deg, I 100
(0 1 5), 34.6 deg, I 67
(1 0 3), 27.9 deg, I 35
(2 1 5), 59.4 deg, I 28
(0 2 0), 44.3 deg, I 27
(1 0 7), 44.4 deg, I 25

Theoretical powder diffractogram
Compound: Ni3Hg
Radiation: Cu Kα (weighted mean of Kα1 and Kα2)
Structure: the GGA-PBE geometry in Alexandria

a = 4.2864 Å, b = 5.2770 Å, c = 4.7051 Å
α = 90.00°, β = 90.00°, γ = 90.00°
Space group Pmmn (No. 59, origin choice 2)
One atom of each set of equivalent atoms:
Ni 0.2500 0.0039 0.1471 [4 per cell]
Ni 0.2500 0.7500 0.7042 [2 per cell]
Hg 0.2500 0.2500 0.6450 [2 per cell]

Peak list (6 most intense, 2θ from 10° to 90°, most intense first)
(1 2 1), 44.7 deg, I 100
(1 0 2), 43.9 deg, I 63
(2 0 0), 42.2 deg, I 44
(1 1 0), 26.8 deg, I 35
(0 2 1), 39.1 deg, I 34
(1 1 1), 33.0 deg, I 23